For ScSi3Ni3, a crystal structure in Alexandria, relaxed with PBE gives the computed X-ray diffraction stick pattern in this record (CuKα).
Lines closer than 0.1° are merged.

Peak list (6 most intense, 2θ = 10–80°, sorted by position)
| 2θ (°) | I_rel |
| --- | --- |
| 25.1 | 80.8 |
| 34.2 | 28.1 |
| 39.7 | 46.3 |
| 45.1 | 100.0 |
| 47.9 | 51.5 |
| 49.6 | 25.7 |

Atomic structure:
```
ScSi3Ni3
1.0
5.2650 -1.8995 0.0000
5.2650 1.8995 0.0000
-3.5022 0.0000 9.6194
Sc Si Ni
2 6 6
Cartesian
1.0245 0.0000 3.5900 Sc
6.0033 0.0000 6.0294 Sc
-0.1055 0.0000 7.8719 Si
3.6583 0.0000 0.7748 Si
2.8043 0.0000 5.9174 Si
4.2235 0.0000 3.7020 Si
3.3694 0.0000 8.8447 Si
7.1332 0.0000 1.7475 Si
-2.4610 0.0000 7.7200 Ni
-1.0526 0.0000 5.7378 Ni
1.1866 0.0000 0.6381 Ni
5.8412 0.0000 8.9813 Ni
8.0804 0.0000 3.8816 Ni
9.4887 0.0000 1.8994 Ni
```